# 1
CuAsSe2I: simulated powder diffractogram (CuKα), based on a structure optimized by DFT (GGA-PBE).

Atomic structure:
Cell lengths 7.4032, 5.3090, 8.0951 Å; angles 90.00, 111.18, 90.00 degrees
Space group P2_1/m (No. 11)
Asymmetric unit:
1 Cu 0.0636 0.2500 0.3935 [2 per cell]
2 As 0.4395 0.7500 0.6402 [2 per cell]
3 Se 0.1292 0.7500 0.3977 [2 per cell]
4 Se 0.3886 0.2500 0.5934 [2 per cell]
5 I 0.2238 0.7500 0.9017 [2 per cell]

Main lines, low angle first (2θ from 15° to 90°):
(1 1 0), 21.11 deg, 4.208 Å, rel. 62.2; (2 0 -2), 28.03 deg, 3.183 Å, rel. 96.0; (2 0 1), 32.18 deg, 2.782 Å, rel. 61.9; (0 2 0), 33.77 deg, 2.655 Å, rel. 100.0; (2 0 -3), 35.76 deg, 2.511 Å, rel. 43.0; (2 2 -2), 44.44 deg, 2.039 Å, rel. 51.1; (2 2 1), 47.34 deg, 1.920 Å, rel. 41.2; (0 0 4), 48.25 deg, 1.886 Å, rel. 35.2


# 2
Ta2CuAsI: simulated powder diffractogram (CuKα), based on a structure optimized by DFT (GGA-PBE).

Atomic structure:
Cell lengths 5.0228, 5.0228, 5.2998 Å; angles 90.00, 90.00, 90.00 degrees
Space group P4/mmm (No. 123)
Asymmetric unit:
1 Ta 0.0000 0.5000 0.0000 [2 per cell]
2 Cu 0.0000 0.0000 0.5000 [1 per cell]
3 As 0.5000 0.5000 0.5000 [1 per cell]
4 I 0.5000 0.5000 0.0000 [1 per cell]

Main lines, low angle first (2θ from 15° to 90°):
(0 0 1), 16.73 deg, 5.300 Å, rel. 81.3; (1 1 1), 30.29 deg, 2.950 Å, rel. 100.0; (0 0 2), 33.83 deg, 2.650 Å, rel. 51.7; (2 0 0), 35.75 deg, 2.511 Å, rel. 89.1; (2 0 1), 39.72 deg, 2.269 Å, rel. 38.0; (2 0 2), 50.04 deg, 1.823 Å, rel. 68.3; (2 2 0), 51.46 deg, 1.776 Å, rel. 31.4; (2 2 2), 63.01 deg, 1.475 Å, rel. 33.9


# 3
In2CuAs: simulated powder diffractogram (CuKα), based on a structure optimized by DFT (GGA-PBE).

Atomic structure:
Cell lengths 4.1172, 3.9896, 5.6416 Å; angles 90.00, 111.08, 90.00 degrees
Space group Pm (No. 6)
Asymmetric unit:
1 In 0.0000 0.0000 0.0000 [1 per cell]
2 In 0.3036 0.5000 0.6102 [1 per cell]
3 Cu 0.5670 0.5000 0.1308 [1 per cell]
4 As 0.7083 0.0000 0.4221 [1 per cell]

Main lines, low angle first (2θ from 15° to 90°):
(1 1 -1), 32.38 deg, 2.765 Å, rel. 100.0; (1 0 1), 33.46 deg, 2.678 Å, rel. 23.2; (1 0 -2), 33.65 deg, 2.663 Å, rel. 22.2; (1 1 1), 40.57 deg, 2.224 Å, rel. 17.1; (1 1 -2), 40.73 deg, 2.215 Å, rel. 16.6; (0 1 2), 41.08 deg, 2.197 Å, rel. 32.4; (2 0 -1), 43.99 deg, 2.059 Å, rel. 23.3; (0 2 0), 45.47 deg, 1.995 Å, rel. 21.1


# 4
TlCuAs2Ir: simulated powder diffractogram (CuKα), based on a structure optimized by DFT (GGA-PBE).

Atomic structure:
Cell lengths 4.7765, 4.7765, 5.0268 Å; angles 90.00, 90.00, 90.00 degrees
Space group P4/mmm (No. 123)
Asymmetric unit:
1 Tl 0.0000 0.0000 0.0000 [1 per cell]
2 Cu 0.5000 0.5000 0.0000 [1 per cell]
3 As 0.0000 0.5000 0.5000 [2 per cell]
4 Ir 0.5000 0.5000 0.5000 [1 per cell]

Main lines, low angle first (2θ from 15° to 90°):
(1 0 1), 25.73 deg, 3.463 Å, rel. 100.0; (1 1 0), 26.39 deg, 3.377 Å, rel. 42.3; (1 1 1), 31.92 deg, 2.803 Å, rel. 32.0; (0 0 2), 35.72 deg, 2.513 Å, rel. 40.0; (2 0 0), 37.66 deg, 2.388 Å, rel. 69.3; (2 1 1), 46.17 deg, 1.966 Å, rel. 43.1; (2 0 2), 52.88 deg, 1.731 Å, rel. 52.1; (2 2 2), 66.73 deg, 1.402 Å, rel. 25.8


# 5
KCu6As4: simulated powder diffractogram (CuKα), based on a structure optimized by DFT (GGA-PBE).

Atomic structure:
Cell lengths 4.0522, 4.0522, 24.6678 Å; angles 90.00, 90.00, 90.00 degrees
Space group I4/mmm (No. 139)
Asymmetric unit:
1 K 0.0000 0.0000 0.0000 [2 per cell]
2 Cu 0.0000 0.5000 0.1323 [8 per cell]
3 Cu 0.0000 0.5000 0.2500 [4 per cell]
4 As 0.0000 0.0000 0.1926 [4 per cell]
5 As 0.0000 0.0000 0.4210 [4 per cell]

Main lines, low angle first (2θ from 15° to 90°):
(1 0 5), 28.50 deg, 3.131 Å, rel. 82.7; (1 1 2), 32.07 deg, 2.791 Å, rel. 18.5; (1 1 8), 43.10 deg, 2.099 Å, rel. 100.0; (2 0 0), 44.73 deg, 2.026 Å, rel. 69.7; (1 1 10), 48.71 deg, 1.869 Å, rel. 41.8; (2 1 5), 53.90 deg, 1.701 Å, rel. 26.5; (2 2 0), 65.11 deg, 1.433 Å, rel. 21.3; (3 1 8), 81.31 deg, 1.183 Å, rel. 28.6


# 6
KCu4As: simulated powder diffractogram (CuKα), based on a structure optimized by DFT (GGA-PBE).

Atomic structure:
Cell lengths 7.2892, 7.2892, 7.2892 Å; angles 90.00, 90.00, 90.00 degrees
Space group F-43m (No. 216)
Asymmetric unit:
1 K 0.0000 0.0000 0.0000 [4 per cell]
2 Cu 0.1247 0.1247 0.3753 [16 per cell]
3 As 0.2500 0.2500 0.7500 [4 per cell]

Main lines, low angle first (2θ from 15° to 90°):
(1 1 1), 21.11 deg, 4.208 Å, rel. 13.6; (2 2 0), 34.81 deg, 2.577 Å, rel. 22.3; (3 1 1), 41.07 deg, 2.198 Å, rel. 100.0; (2 2 2), 42.98 deg, 2.104 Å, rel. 45.8; (3 3 3), 66.67 deg, 1.403 Å, rel. 28.9; (4 4 0), 73.49 deg, 1.289 Å, rel. 24.8; (5 3 3), 87.82 deg, 1.112 Å, rel. 10.0; (6 2 2), 89.10 deg, 1.099 Å, rel. 14.7